Record 1
LiMg14Zr: calculated X-ray powder pattern (Cu Kα (λ = 1.5418 Å)), based on DFT lattice parameters and positions (PBE).
Peak positions follow from Bragg's law for the DFT cell and can differ from measured ones.

Structure:
```
LiMg14Zr
1.0
6.4073 0.0000 0.0000
-3.2037 5.5489 0.0000
0.0000 0.0000 10.1547
Li Mg Zr
1 14 1
Direct
0.0000 0.0000 0.0000
0.0074 0.5037 0.5000
0.1629 0.3258 0.2507
0.1629 0.3258 0.7493
0.1629 0.8371 0.2507
0.1629 0.8371 0.7493
0.4963 0.5037 0.5000
0.4963 0.9926 0.5000
0.5003 0.0005 0.0000
0.5003 0.4997 0.0000
0.6667 0.3333 0.2565
0.6667 0.3333 0.7435
0.6742 0.8371 0.2507
0.6742 0.8371 0.7493
0.9995 0.4997 0.0000
0.0000 0.0000 0.5000
```

The 12 most intense peaks (2θ from 5° to 70°), most intense first:
36.9 deg, intensity 100
18.2 deg, intensity 29
8.7 deg, intensity 27
35.4 deg, intensity 25
32.3 deg, intensity 25
69.4 deg, intensity 19
64.5 deg, intensity 18
57.5 deg, intensity 17
48.6 deg, intensity 15
29.2 deg, intensity 10
30.9 deg, intensity 9
16.0 deg, intensity 7



Record 2
BaMg2ZnIn4: calculated X-ray powder pattern (Cu Kα (λ = 1.5418 Å)), based on DFT lattice parameters and positions (PBE).
Peak positions follow from Bragg's law for the DFT cell and can differ from measured ones.

Structure:
```
BaMg2ZnIn4
1.0
2.5412 1.4671 9.8364
-2.5412 1.4671 9.8364
0.0000 -2.9343 9.8364
Ba Mg Zn In
1 2 1 4
Direct
0.0000 0.0000 0.0000
0.2391 0.2391 0.2391
0.7609 0.7609 0.7609
0.5000 0.5000 0.5000
0.1314 0.1314 0.1314
0.4039 0.4039 0.4039
0.5961 0.5961 0.5961
0.8686 0.8686 0.8686
```

The 12 most intense peaks (2θ from 5° to 70°), most intense first:
35.3 deg, intensity 100
31.6 deg, intensity 64
29.3 deg, intensity 38
21.1 deg, intensity 33
39.3 deg, intensity 24
48.1 deg, intensity 19
61.1 deg, intensity 18
59.4 deg, intensity 18
63.4 deg, intensity 17
36.7 deg, intensity 15
25.2 deg, intensity 15
23.5 deg, intensity 13